Calculated powder diffractogram of RbPbCl3 for Cu Kα (λ = 1.5418 Å), from a PBE-relaxed structure.
Lines closer than 0.1° are merged.

Crystal structure
```
RbPbCl3
1.0
9.1764 0.0000 0.0000
0.0000 4.2994 0.0000
-3.1578 0.0000 8.6243
Rb Pb Cl
2 2 6
Direct
0.0000 0.0000 0.0000
0.5000 0.5001 0.5000
0.0000 0.0012 0.5000
0.5000 0.0001 0.0000
0.0670 0.5009 0.3140
0.3132 0.4995 0.0661
0.3328 0.0002 0.6673
0.6672 0.0002 0.3327
0.6868 0.4995 0.9339
0.9330 0.5009 0.6860
```

Top 12 peaks for 10° ≤ 2θ ≤ 90°, low angle first:
d_spacing	Rel. int.
7.525	35
4.309	100
3.733	41
3.118	21
3.044	34
2.831	27
2.629	18
2.493	43
2.264	24
2.150	33
2.003	17
1.925	30

Calculated powder diffractogram of RbPbCl3 for Cu Kα (λ = 1.5418 Å), from a PBE-relaxed structure.
Lines closer than 0.1° are merged.

Crystal structure
```
RbPbCl3
1.0
5.7088 0.0000 0.0000
0.0000 8.2043 0.0000
-2.8228 0.0000 7.6847
Rb Pb Cl
2 2 6
Direct
0.1913 0.2500 0.3854
0.8087 0.7500 0.6146
0.4861 0.2500 0.9674
0.5139 0.7500 0.0326
0.0179 0.7500 0.0419
0.3641 0.5187 0.7252
0.3641 0.9813 0.7252
0.6359 0.0187 0.2748
0.6359 0.4813 0.2748
0.9821 0.2500 0.9581
```

Top 12 peaks for 10° ≤ 2θ ≤ 90°, low angle first:
d_spacing	Rel. int.
7.685	74
5.352	91
4.482	30
4.102	48
3.813	36
3.619	36
3.480	36
2.854	48
2.800	100
2.790	49
2.343	23
2.051	25

Calculated powder diffractogram of RbPbCl3 for Cu Kα (λ = 1.5418 Å), from a PBE-relaxed structure.
Lines closer than 0.1° are merged.

Crystal structure
```
RbPbCl3
1.0
2.1621 -7.1981 0.0000
2.1621 7.1981 0.0000
0.0000 0.0000 10.7452
Rb Pb Cl
2 2 6
Direct
0.2464 0.7536 0.7500
0.7536 0.2464 0.2500
0.5000 0.5000 0.0000
0.5000 0.5000 0.5000
0.1330 0.8670 0.0552
0.1330 0.8670 0.4448
0.4258 0.5742 0.2500
0.5742 0.4258 0.7500
0.8670 0.1330 0.5552
0.8670 0.1330 0.9448
```

Top 12 peaks for 10° ≤ 2θ ≤ 90°, low angle first:
d_spacing	Rel. int.
7.198	38
5.373	22
4.306	100
4.141	45
3.280	27
3.212	61
3.078	25
2.757	54
2.686	26
2.254	28
2.190	64
1.932	24

Calculated powder diffractogram of Rb2TlPb2Cl7 for Cu Kα (λ = 1.5418 Å), from a PBE-relaxed structure.
Lines closer than 0.1° are merged.

Crystal structure
```
Rb2TlPb2Cl7
1.0
3.9682 -4.0944 0.0000
3.9682 4.0944 0.0000
-3.5400 0.0000 13.8593
Rb Tl Pb Cl
2 1 2 7
Direct
0.2366 0.2366 0.3608
0.7634 0.7634 0.6392
0.0000 0.0000 0.0000
0.3590 0.3590 0.7941
0.6410 0.6410 0.2059
0.1400 0.6931 0.1981
0.3069 0.8600 0.8019
0.3154 0.3154 0.5924
0.5000 0.5000 0.0000
0.6846 0.6846 0.4076
0.6931 0.1400 0.1981
0.8600 0.3069 0.8019
```

Top 12 peaks for 10° ≤ 2θ ≤ 90°, low angle first:
d_spacing	Rel. int.
6.930	24
4.898	45
4.094	75
4.018	100
3.966	61
3.930	84
3.218	32
2.849	85
2.775	74
2.349	29
2.331	24
2.010	38

> Which formula does entry 1 have?

RbPbCl3